CsNpMn2Cl8: theoretical powder diffraction line list (copper Kα), based on the PBE geometry in Alexandria.

Largest 8 diffraction maxima, by angle, 5 to 70 degrees two-theta:
| Position (°2θ) | Rel. int. | hkl |
| --- | --- | --- |
| 16.45 | 26.0 | 0 1 2 |
| 19.24 | 100.0 | 1 0 4 |
| 26.86 | 40.7 | 1 1 0 |
| 27.80 | 31.6 | 0 1 8 |
| 32.07 | 42.6 | 2 -1 6 |
| 33.26 | 26.3 | 0 2 4 |
| 43.25 | 25.0 | 3 -1 4 |
| 44.50 | 37.5 | 1 1 12 |

Crystal structure
Cell: 6.6374 6.6374 30.9394 Å, 90.00 90.00 120.00°
Space group R-3 (No. 148, hexagonal axes)
Unique sites:
Cs (0.0000, 0.0000, 0.0000) (multiplicity 3)
Np (0.0000, 0.0000, 0.5000) (multiplicity 3)
Mn (0.0000, 0.0000, 0.2470) (multiplicity 6)
Cl (0.0000, 0.0000, 0.3203) (multiplicity 6)
Cl (0.0020, 0.3392, 0.2203) (multiplicity 18)